[1]
Computed powder diffraction line list of Li7Mn2Co3O12 for Cu Kα X-rays, from DFT lattice parameters and positions (PBE+U).
No peak broadening, texture or thermal motion is included.

Crystal structure
a = 2.9611 Å, b = 5.0762 Å, c = 14.3806 Å
α = 88.24°, β = 86.63°, γ = 88.56°
Space group P1 (No. 1)
Asymmetric unit:
Li: 0.0000 0.0000 0.0000 (multiplicity 1)
Li: 0.0007 0.6640 0.3330 (multiplicity 1)
Li: 0.0120 0.3520 0.6691 (multiplicity 1)
Li: 0.4944 0.8215 0.6662 (multiplicity 1)
Li: 0.4972 0.1671 0.8343 (multiplicity 1)
Li: 0.5026 0.8350 0.1669 (multiplicity 1)
Li: 0.5089 0.5091 0.5066 (multiplicity 1)
Mn: 0.0048 0.9915 0.5073 (multiplicity 1)
Mn: 0.0058 0.3400 0.1662 (multiplicity 1)
Co: 0.4998 0.5066 0.9991 (multiplicity 1)
Co: 0.5161 0.1747 0.3361 (multiplicity 1)
Co: 0.9975 0.6755 0.8277 (multiplicity 1)
O: 0.0058 0.9675 0.7627 (multiplicity 1)
O: 0.0264 0.3113 0.4157 (multiplicity 1)
O: 0.0302 0.6528 0.0832 (multiplicity 1)
O: 0.4721 0.1903 0.0807 (multiplicity 1)
O: 0.4730 0.5083 0.7583 (multiplicity 1)
O: 0.4811 0.1464 0.5746 (multiplicity 1)
O: 0.5289 0.8103 0.9177 (multiplicity 1)
O: 0.5294 0.8608 0.4271 (multiplicity 1)
O: 0.5383 0.4940 0.2503 (multiplicity 1)
O: 0.9752 0.3735 0.9167 (multiplicity 1)
O: 0.9883 0.0205 0.2524 (multiplicity 1)
O: 0.9950 0.6874 0.5775 (multiplicity 1)

Peak list (10 most intense, 2θ from 10° to 90°, low angle first)
2θ/deg, I (rel.), (hkl)
12.3, 10, 0 0 2
18.4, 100, 0 1 1
34.7, 19, 1 0 3
36.4, 11, 0 1 -5
36.7, 12, 1 0 -3
41.8, 34, 1 1 4
44.3, 27, 0 2 -4
44.6, 27, -1 1 4
62.9, 8, 2 0 0
65.3, 9, 1 1 -8

[2]
Computed powder diffraction line list of Li4MnCo2O7 for Cu Kα X-rays, from DFT lattice parameters and positions (PBE+U).
No peak broadening, texture or thermal motion is included.

Crystal structure
a = 3.0215 Å, b = 6.3954 Å, c = 13.5724 Å
α = 83.81°, β = 88.87°, γ = 76.59°
Space group P1 (No. 1)
Asymmetric unit:
Li: 0.0000 0.0000 0.0000 (multiplicity 1)
Li: 0.0014 0.4956 0.5003 (multiplicity 1)
Li: 0.1385 0.9300 0.7867 (multiplicity 1)
Li: 0.2898 0.3536 0.0693 (multiplicity 1)
Li: 0.4296 0.7888 0.3572 (multiplicity 1)
Li: 0.5693 0.2169 0.6444 (multiplicity 1)
Li: 0.7122 0.6453 0.9308 (multiplicity 1)
Li: 0.8638 0.0641 0.2137 (multiplicity 1)
Mn: 0.1437 0.4303 0.2850 (multiplicity 1)
Mn: 0.2863 0.8547 0.5722 (multiplicity 1)
Co: 0.4306 0.2744 0.8637 (multiplicity 1)
Co: 0.5738 0.7258 0.1356 (multiplicity 1)
Co: 0.7147 0.1425 0.4288 (multiplicity 1)
Co: 0.8589 0.5669 0.7169 (multiplicity 1)
O: 0.0110 0.2667 0.7549 (multiplicity 1)
O: 0.1277 0.1654 0.5321 (multiplicity 1)
O: 0.1554 0.6816 0.0440 (multiplicity 1)
O: 0.2758 0.5808 0.8191 (multiplicity 1)
O: 0.3008 0.1197 0.3260 (multiplicity 1)
O: 0.4331 0.0070 0.1130 (multiplicity 1)
O: 0.4484 0.5445 0.6128 (multiplicity 1)
O: 0.5570 0.4497 0.3920 (multiplicity 1)
O: 0.5644 0.9926 0.8872 (multiplicity 1)
O: 0.7014 0.8746 0.6790 (multiplicity 1)
O: 0.7233 0.4150 0.1786 (multiplicity 1)
O: 0.8409 0.3189 0.9555 (multiplicity 1)
O: 0.8737 0.8349 0.4656 (multiplicity 1)
O: 0.9862 0.7372 0.2452 (multiplicity 1)

Peak list (10 most intense, 2θ from 10° to 90°, low angle first)
2θ/deg, I (rel.), (hkl)
18.4, 100, 0 1 2
33.9, 21, 1 1 -2
36.6, 12, 1 0 3
37.0, 15, 0 2 -3
40.6, 37, 1 0 -4
44.6, 27, 1 1 5
45.2, 25, 0 3 -1
61.7, 9, 2 1 1
62.2, 16, 0 1 9
62.5, 8, -1 3 3

[3]
Computed powder diffraction line list of Li6Mn3CoO10 for Cu Kα X-rays, from DFT lattice parameters and positions (PBE+U).
No peak broadening, texture or thermal motion is included.

Crystal structure
a = 24.3391 Å, b = 2.9021 Å, c = 5.2040 Å
α = 90.00°, β = 92.38°, γ = 90.00°
Space group Cm (No. 8)
Asymmetric unit:
Li: 0.0000 0.0000 0.0000 (multiplicity 2)
Li: 0.0054 0.5000 0.4966 (multiplicity 2)
Li: 0.0993 0.5000 0.2044 (multiplicity 2)
Li: 0.2029 0.0000 0.3952 (multiplicity 2)
Li: 0.3097 0.5000 0.6008 (multiplicity 2)
Li: 0.4123 0.0000 0.8211 (multiplicity 2)
Mn: 0.1016 0.0000 0.6784 (multiplicity 2)
Mn: 0.2046 0.5000 0.8981 (multiplicity 2)
Mn: 0.3069 0.0000 0.1147 (multiplicity 2)
Co: 0.4149 0.5000 0.3383 (multiplicity 2)
O: 0.0600 0.0000 0.3828 (multiplicity 2)
O: 0.0628 0.5000 0.8336 (multiplicity 2)
O: 0.1508 0.5000 0.5527 (multiplicity 2)
O: 0.1577 0.0000 0.0150 (multiplicity 2)
O: 0.2542 0.0000 0.7911 (multiplicity 2)
O: 0.2608 0.5000 0.2501 (multiplicity 2)
O: 0.3472 0.5000 0.9673 (multiplicity 2)
O: 0.3529 0.0000 0.4133 (multiplicity 2)
O: 0.4505 0.5000 0.6438 (multiplicity 2)
O: 0.4527 0.0000 0.1583 (multiplicity 2)

Peak list (10 most intense, 2θ from 10° to 90°, low angle first)
2θ/deg, I (rel.), (hkl)
18.3, 100, 2 0 -1
22.0, 11, 6 0 0
34.8, 13, 8 0 1
36.0, 24, 5 1 0
42.1, 29, 6 0 2
43.8, 59, 7 1 -1
57.7, 9, 9 1 -2
62.3, 14, 13 1 1
62.4, 15, 1 1 -3
63.1, 9, 14 0 -2